# 1
Tb3Sm5Ho: theoretical powder diffraction line list (a wavelength of 1.5418 Å), based on a crystal structure in Alexandria, relaxed with PBE.
Neutral-atom scattering factors, no anomalous dispersion.

Most intense lines, 2θ from 5° to 70°, in order of rising 2θ:
- 2θ = 30.8°, intensity 35.9
- 2θ = 31.0°, intensity 100.0
- 2θ = 31.2°, intensity 65.6
- 2θ = 31.9°, intensity 12.5
- 2θ = 32.8°, intensity 15.7
- 2θ = 33.1°, intensity 12.4
- 2θ = 35.4°, intensity 12.3
- 2θ = 35.5°, intensity 13.6
- 2θ = 38.4°, intensity 12.1
- 2θ = 55.2°, intensity 19.2

Cell and atoms:
```
data_Tb3Sm5Ho
_cell_length_a 8.872
_cell_length_b 8.872
_cell_length_c 11.562
_cell_angle_alpha 108.57
_cell_angle_beta 108.57
_cell_angle_gamma 44.65
_space_group_name_H-M_alt 'P 1'
_space_group_IT_number 1
loop_
_space_group_symop_operation_xyz
'x,y,z'
loop_
_atom_site_label
_atom_site_fract_x
_atom_site_fract_y
_atom_site_fract_z
_atom_site_occupancy
Tb1 0.000 0.000 0.000 1
Tb2 0.000 0.000 0.500 1
Tb3 0.160 0.362 0.630 1
Tb4 0.362 0.160 0.130 1
Tb5 0.638 0.840 0.870 1
Tb6 0.840 0.638 0.370 1
Sm1 0.078 0.267 0.849 1
Sm2 0.267 0.078 0.349 1
Sm3 0.314 0.686 0.250 1
Sm4 0.390 0.391 0.950 1
Sm5 0.391 0.390 0.450 1
Sm6 0.609 0.610 0.550 1
Sm7 0.610 0.609 0.050 1
Sm8 0.686 0.314 0.750 1
Sm9 0.733 0.922 0.651 1
Sm10 0.922 0.733 0.151 1
Ho1 0.236 0.764 0.750 1
Ho2 0.764 0.236 0.250 1
```

# 2
NiAuI4: theoretical powder diffraction line list (a wavelength of 1.5418 Å), based on a crystal structure in Alexandria, relaxed with PBE.
Neutral-atom scattering factors, no anomalous dispersion.

Most intense lines, 2θ from 5° to 70°, in order of rising 2θ:
- 2θ = 9.7°, intensity 15.3
- 2θ = 13.0°, intensity 38.4
- 2θ = 19.5°, intensity 100.0
- 2θ = 26.8°, intensity 17.5
- 2θ = 30.1°, intensity 50.5
- 2θ = 34.0°, intensity 23.9
- 2θ = 38.2°, intensity 33.8
- 2θ = 39.3°, intensity 22.1
- 2θ = 44.1°, intensity 16.6
- 2θ = 44.4°, intensity 16.6

Cell and atoms:
```
data_NiAuI4
_cell_length_a 14.299
_cell_length_b 3.835
_cell_length_c 9.564
_cell_angle_alpha 90.00
_cell_angle_beta 108.01
_cell_angle_gamma 90.00
_space_group_name_H-M_alt 'P 1'
_space_group_IT_number 1
loop_
_space_group_symop_operation_xyz
'x,y,z'
loop_
_atom_site_label
_atom_site_fract_x
_atom_site_fract_y
_atom_site_fract_z
_atom_site_occupancy
Ni1 0.000 0.000 0.000 1
Ni2 0.500 0.500 0.000 1
Au1 0.000 0.500 0.500 1
Au2 0.500 0.000 0.500 1
I1 0.104 0.500 0.958 1
I2 0.137 0.000 0.499 1
I3 0.363 0.500 0.501 1
I4 0.396 0.000 0.042 1
I5 0.604 0.000 0.958 1
I6 0.637 0.500 0.499 1
I7 0.863 0.000 0.501 1
I8 0.896 0.500 0.042 1
```

# 3
Tb2HoAg2: theoretical powder diffraction line list (a wavelength of 1.5418 Å), based on a crystal structure in Alexandria, relaxed with PBE.
Neutral-atom scattering factors, no anomalous dispersion.

Most intense lines, 2θ from 5° to 70°, in order of rising 2θ:
- 2θ = 26.2°, intensity 4.2
- 2θ = 33.3°, intensity 17.2
- 2θ = 34.3°, intensity 100.0
- 2θ = 48.5°, intensity 11.9
- 2θ = 50.0°, intensity 7.2
- 2θ = 60.2°, intensity 8.6
- 2θ = 61.3°, intensity 14.4
- 2θ = 61.5°, intensity 5.8
- 2θ = 62.0°, intensity 7.5
- 2θ = 66.9°, intensity 2.9

Cell and atoms:
```
data_Tb2HoAg2
_cell_length_a 3.645
_cell_length_b 5.240
_cell_length_c 13.560
_cell_angle_alpha 90.00
_cell_angle_beta 97.71
_cell_angle_gamma 90.00
_space_group_name_H-M_alt 'P 1'
_space_group_IT_number 1
loop_
_space_group_symop_operation_xyz
'x,y,z'
loop_
_atom_site_label
_atom_site_fract_x
_atom_site_fract_y
_atom_site_fract_z
_atom_site_occupancy
Tb1 0.048 0.250 0.095 1
Tb2 0.235 0.250 0.469 1
Tb3 0.765 0.750 0.531 1
Tb4 0.952 0.750 0.905 1
Ho1 0.146 0.750 0.291 1
Ho2 0.854 0.250 0.709 1
Ag1 0.357 0.750 0.716 1
Ag2 0.451 0.250 0.903 1
Ag3 0.549 0.750 0.097 1
Ag4 0.643 0.250 0.284 1
```

# 4
NbCu2HgS4: theoretical powder diffraction line list (a wavelength of 1.5418 Å), based on a crystal structure in Alexandria, relaxed with PBE.
Neutral-atom scattering factors, no anomalous dispersion.

Most intense lines, 2θ from 5° to 70°, in order of rising 2θ:
- 2θ = 17.7°, intensity 10.5
- 2θ = 22.0°, intensity 10.8
- 2θ = 27.9°, intensity 100.0
- 2θ = 31.3°, intensity 16.8
- 2θ = 35.8°, intensity 8.0
- 2θ = 36.2°, intensity 7.0
- 2θ = 44.8°, intensity 20.1
- 2θ = 47.1°, intensity 34.5
- 2θ = 53.6°, intensity 31.3
- 2θ = 57.6°, intensity 19.2

Cell and atoms:
```
data_NbCu2HgS4
_cell_length_a 6.611
_cell_length_b 6.610
_cell_length_c 5.717
_cell_angle_alpha 64.39
_cell_angle_beta 64.37
_cell_angle_gamma 51.24
_space_group_name_H-M_alt 'P 1'
_space_group_IT_number 1
loop_
_space_group_symop_operation_xyz
'x,y,z'
loop_
_atom_site_label
_atom_site_fract_x
_atom_site_fract_y
_atom_site_fract_z
_atom_site_occupancy
Nb1 0.000 0.000 0.000 1
Cu1 0.250 0.250 0.250 1
Cu2 0.750 0.750 0.750 1
Hg1 0.499 0.499 0.501 1
S1 0.089 0.634 0.366 1
S2 0.366 0.911 0.634 1
S3 0.634 0.089 0.911 1
S4 0.911 0.366 0.089 1
```

# 5
HoIn2Hg3: theoretical powder diffraction line list (a wavelength of 1.5418 Å), based on a crystal structure in Alexandria, relaxed with PBE.
Neutral-atom scattering factors, no anomalous dispersion.

Most intense lines, 2θ from 5° to 70°, in order of rising 2θ:
- 2θ = 25.9°, intensity 3.9
- 2θ = 33.7°, intensity 100.0
- 2θ = 36.3°, intensity 20.2
- 2θ = 37.7°, intensity 18.5
- 2θ = 43.0°, intensity 12.9
- 2θ = 53.3°, intensity 13.4
- 2θ = 57.5°, intensity 10.7
- 2θ = 58.5°, intensity 10.4
- 2θ = 63.6°, intensity 15.4
- 2θ = 65.5°, intensity 15.1

Cell and atoms:
```
data_HoIn2Hg3
_cell_length_a 4.770
_cell_length_b 14.867
_cell_length_c 4.208
_cell_angle_alpha 90.00
_cell_angle_beta 90.00
_cell_angle_gamma 90.00
_space_group_name_H-M_alt 'P 1'
_space_group_IT_number 1
loop_
_space_group_symop_operation_xyz
'x,y,z'
loop_
_atom_site_label
_atom_site_fract_x
_atom_site_fract_y
_atom_site_fract_z
_atom_site_occupancy
Ho1 0.000 0.000 0.000 1
Ho2 0.500 0.500 0.000 1
In1 0.000 0.328 0.000 1
In2 0.000 0.672 0.000 1
In3 0.500 0.172 0.000 1
In4 0.500 0.828 0.000 1
Hg1 0.000 0.162 0.500 1
Hg2 0.000 0.500 0.500 1
Hg3 0.000 0.838 0.500 1
Hg4 0.500 0.000 0.500 1
Hg5 0.500 0.338 0.500 1
Hg6 0.500 0.662 0.500 1
```

# 6
TeSe2S2: theoretical powder diffraction line list (a wavelength of 1.5418 Å), based on a crystal structure in Alexandria, relaxed with PBE.
Neutral-atom scattering factors, no anomalous dispersion.

Most intense lines, 2θ from 5° to 70°, in order of rising 2θ:
- 2θ = 8.0°, intensity 100.0
- 2θ = 15.9°, intensity 11.7
- 2θ = 27.9°, intensity 59.0
- 2θ = 29.0°, intensity 48.0
- 2θ = 33.3°, intensity 33.3
- 2θ = 39.8°, intensity 9.9
- 2θ = 42.4°, intensity 25.0
- 2θ = 46.9°, intensity 10.5
- 2θ = 47.1°, intensity 9.7
- 2θ = 47.1°, intensity 19.2

Cell and atoms:
```
data_TeSe2S2
_cell_length_a 3.104
_cell_length_b 3.917
_cell_length_c 11.217
_cell_angle_alpha 90.00
_cell_angle_beta 97.69
_cell_angle_gamma 90.19
_space_group_name_H-M_alt 'P 1'
_space_group_IT_number 1
loop_
_space_group_symop_operation_xyz
'x,y,z'
loop_
_atom_site_label
_atom_site_fract_x
_atom_site_fract_y
_atom_site_fract_z
_atom_site_occupancy
Te1 0.000 0.000 0.000 1
Se1 0.086 0.499 0.182 1
Se2 0.914 0.501 0.818 1
S1 0.266 0.842 0.535 1
S2 0.734 0.158 0.465 1
```

# 7
TaTiTlO6: theoretical powder diffraction line list (a wavelength of 1.5418 Å), based on a crystal structure in Alexandria, relaxed with PBE.
Neutral-atom scattering factors, no anomalous dispersion.

Most intense lines, 2θ from 5° to 70°, in order of rising 2θ:
- 2θ = 20.5°, intensity 33.2
- 2θ = 25.9°, intensity 100.0
- 2θ = 33.7°, intensity 83.2
- 2θ = 37.0°, intensity 25.0
- 2θ = 42.7°, intensity 12.3
- 2θ = 50.9°, intensity 65.9
- 2θ = 53.3°, intensity 16.7
- 2θ = 60.2°, intensity 16.6
- 2θ = 64.6°, intensity 18.9
- 2θ = 64.7°, intensity 15.2

Cell and atoms:
```
data_TaTiTlO6
_cell_length_a 4.859
_cell_length_b 4.859
_cell_length_c 9.519
_cell_angle_alpha 90.00
_cell_angle_beta 90.00
_cell_angle_gamma 90.00
_space_group_name_H-M_alt 'P 1'
_space_group_IT_number 1
loop_
_space_group_symop_operation_xyz
'x,y,z'
loop_
_atom_site_label
_atom_site_fract_x
_atom_site_fract_y
_atom_site_fract_z
_atom_site_occupancy
Ta1 0.000 0.000 0.000 1
Ta2 0.500 0.500 0.500 1
Ti1 0.000 0.000 0.663 1
Ti2 0.500 0.500 0.163 1
Tl1 0.000 0.000 0.332 1
Tl2 0.500 0.500 0.832 1
O1 0.177 0.177 0.829 1
O2 0.209 0.209 0.519 1
O3 0.213 0.213 0.142 1
O4 0.287 0.713 0.642 1
O5 0.291 0.709 0.019 1
O6 0.323 0.677 0.329 1
O7 0.677 0.323 0.329 1
O8 0.709 0.291 0.019 1
O9 0.713 0.287 0.642 1
O10 0.787 0.787 0.142 1
O11 0.791 0.791 0.519 1
O12 0.823 0.823 0.829 1
```

# 8
PmHo5Tm5: theoretical powder diffraction line list (a wavelength of 1.5418 Å), based on a crystal structure in Alexandria, relaxed with PBE.
Neutral-atom scattering factors, no anomalous dispersion.

Most intense lines, 2θ from 5° to 70°, in order of rising 2θ:
- 2θ = 31.6°, intensity 58.2
- 2θ = 32.0°, intensity 100.0
- 2θ = 32.4°, intensity 71.6
- 2θ = 32.5°, intensity 26.5
- 2θ = 32.6°, intensity 70.7
- 2θ = 33.1°, intensity 75.0
- 2θ = 34.0°, intensity 29.4
- 2θ = 34.1°, intensity 66.4
- 2θ = 49.2°, intensity 21.8
- 2θ = 57.1°, intensity 26.0

Cell and atoms:
```
data_PmHo5Tm5
_cell_length_a 6.754
_cell_length_b 6.921
_cell_length_c 8.223
_cell_angle_alpha 76.44
_cell_angle_beta 77.01
_cell_angle_gamma 72.93
_space_group_name_H-M_alt 'P 1'
_space_group_IT_number 1
loop_
_space_group_symop_operation_xyz
'x,y,z'
loop_
_atom_site_label
_atom_site_fract_x
_atom_site_fract_y
_atom_site_fract_z
_atom_site_occupancy
Pm1 0.000 0.000 0.000 1
Ho1 0.000 0.500 0.000 1
Ho2 0.159 0.628 0.358 1
Ho3 0.326 0.763 0.656 1
Ho4 0.674 0.237 0.344 1
Ho5 0.841 0.372 0.642 1
Tm1 0.208 0.137 0.320 1
Tm2 0.353 0.249 0.716 1
Tm3 0.500 0.500 0.000 1
Tm4 0.647 0.751 0.284 1
Tm5 0.792 0.863 0.680 1
```

# 9
Pm4Ga16Os3: theoretical powder diffraction line list (a wavelength of 1.5418 Å), based on a crystal structure in Alexandria, relaxed with PBE.
Neutral-atom scattering factors, no anomalous dispersion.

Most intense lines, 2θ from 5° to 70°, in order of rising 2θ:
- 2θ = 20.3°, intensity 22.1
- 2θ = 21.7°, intensity 34.0
- 2θ = 31.1°, intensity 56.2
- 2θ = 37.4°, intensity 100.0
- 2θ = 39.4°, intensity 19.9
- 2θ = 41.2°, intensity 85.2
- 2θ = 43.0°, intensity 35.6
- 2θ = 52.5°, intensity 23.0
- 2θ = 58.3°, intensity 22.6
- 2θ = 59.7°, intensity 26.7

Cell and atoms:
```
data_Pm4Ga16Os3
_cell_length_a 6.200
_cell_length_b 6.200
_cell_length_c 11.436
_cell_angle_alpha 90.00
_cell_angle_beta 90.00
_cell_angle_gamma 90.00
_space_group_name_H-M_alt 'P 1'
_space_group_IT_number 1
loop_
_space_group_symop_operation_xyz
'x,y,z'
loop_
_atom_site_label
_atom_site_fract_x
_atom_site_fract_y
_atom_site_fract_z
_atom_site_occupancy
Pm1 0.000 0.500 0.193 1
Pm2 0.000 0.500 0.807 1
Pm3 0.500 0.000 0.193 1
Pm4 0.500 0.000 0.807 1
Ga1 0.000 0.000 0.197 1
Ga2 0.000 0.000 0.803 1
Ga3 0.213 0.213 0.000 1
Ga4 0.213 0.787 0.000 1
Ga5 0.253 0.253 0.383 1
Ga6 0.253 0.253 0.617 1
Ga7 0.253 0.747 0.383 1
Ga8 0.253 0.747 0.617 1
Ga9 0.500 0.500 0.220 1
Ga10 0.500 0.500 0.780 1
Ga11 0.747 0.253 0.383 1
Ga12 0.747 0.253 0.617 1
Ga13 0.747 0.747 0.383 1
Ga14 0.747 0.747 0.617 1
Ga15 0.787 0.213 0.000 1
Ga16 0.787 0.787 0.000 1
Os1 0.000 0.500 0.500 1
Os2 0.500 0.000 0.500 1
Os3 0.500 0.500 0.000 1
```

# 10
RbNaCO3: theoretical powder diffraction line list (a wavelength of 1.5418 Å), based on a crystal structure in Alexandria, relaxed with PBE.
Neutral-atom scattering factors, no anomalous dispersion.

Most intense lines, 2θ from 5° to 70°, in order of rising 2θ:
- 2θ = 18.0°, intensity 26.1
- 2θ = 22.9°, intensity 58.2
- 2θ = 28.4°, intensity 54.9
- 2θ = 31.4°, intensity 100.0
- 2θ = 33.8°, intensity 76.7
- 2θ = 39.2°, intensity 86.0
- 2θ = 42.9°, intensity 25.8
- 2θ = 46.8°, intensity 42.9
- 2θ = 51.1°, intensity 35.7
- 2θ = 57.7°, intensity 25.2

Cell and atoms:
```
data_RbNaCO3
_cell_length_a 5.698
_cell_length_b 5.698
_cell_length_c 6.283
_cell_angle_alpha 90.00
_cell_angle_beta 90.00
_cell_angle_gamma 120.00
_space_group_name_H-M_alt 'P 1'
_space_group_IT_number 1
loop_
_space_group_symop_operation_xyz
'x,y,z'
loop_
_atom_site_label
_atom_site_fract_x
_atom_site_fract_y
_atom_site_fract_z
_atom_site_occupancy
Rb1 0.333 0.667 0.250 1
Rb2 0.667 0.333 0.750 1
Na1 0.000 0.000 0.000 1
Na2 0.000 0.000 0.500 1
C1 0.333 0.667 0.750 1
C2 0.667 0.333 0.250 1
O1 0.201 0.402 0.750 1
O2 0.201 0.799 0.750 1
O3 0.402 0.201 0.250 1
O4 0.598 0.799 0.750 1
O5 0.799 0.201 0.250 1
O6 0.799 0.598 0.250 1
```

# 11
Nd6MgS8: theoretical powder diffraction line list (a wavelength of 1.5418 Å), based on a crystal structure in Alexandria, relaxed with PBE.
Neutral-atom scattering factors, no anomalous dispersion.

Most intense lines, 2θ from 5° to 70°, in order of rising 2θ:
- 2θ = 15.5°, intensity 27.7
- 2θ = 22.0°, intensity 24.5
- 2θ = 27.0°, intensity 55.8
- 2θ = 31.3°, intensity 100.0
- 2θ = 35.1°, intensity 15.6
- 2θ = 38.6°, intensity 11.9
- 2θ = 44.9°, intensity 71.4
- 2θ = 53.2°, intensity 29.0
- 2θ = 55.7°, intensity 24.5
- 2θ = 65.3°, intensity 11.3

Cell and atoms:
```
data_Nd6MgS8
_cell_length_a 8.079
_cell_length_b 8.079
_cell_length_c 8.079
_cell_angle_alpha 60.00
_cell_angle_beta 60.00
_cell_angle_gamma 60.00
_space_group_name_H-M_alt 'P 1'
_space_group_IT_number 1
loop_
_space_group_symop_operation_xyz
'x,y,z'
loop_
_atom_site_label
_atom_site_fract_x
_atom_site_fract_y
_atom_site_fract_z
_atom_site_occupancy
Nd1 0.000 0.000 0.500 1
Nd2 0.000 0.500 0.000 1
Nd3 0.000 0.500 0.500 1
Nd4 0.500 0.000 0.000 1
Nd5 0.500 0.000 0.500 1
Nd6 0.500 0.500 0.000 1
Mg1 0.000 0.000 0.000 1
S1 0.236 0.236 0.764 1
S2 0.236 0.764 0.236 1
S3 0.236 0.764 0.764 1
S4 0.250 0.250 0.250 1
S5 0.750 0.750 0.750 1
S6 0.764 0.236 0.236 1
S7 0.764 0.236 0.764 1
S8 0.764 0.764 0.236 1
```

# 12
Ba3Tl9Zn2: theoretical powder diffraction line list (a wavelength of 1.5418 Å), based on a crystal structure in Alexandria, relaxed with PBE.
Neutral-atom scattering factors, no anomalous dispersion.

Most intense lines, 2θ from 5° to 70°, in order of rising 2θ:
- 2θ = 24.4°, intensity 20.7
- 2θ = 28.5°, intensity 47.4
- 2θ = 28.8°, intensity 32.4
- 2θ = 29.4°, intensity 100.0
- 2θ = 31.1°, intensity 35.7
- 2θ = 34.8°, intensity 55.9
- 2θ = 35.5°, intensity 22.3
- 2θ = 35.6°, intensity 22.5
- 2θ = 37.0°, intensity 24.7
- 2θ = 37.9°, intensity 44.7

Cell and atoms:
```
data_Ba3Tl9Zn2
_cell_length_a 9.724
_cell_length_b 9.724
_cell_length_c 5.155
_cell_angle_alpha 105.18
_cell_angle_beta 105.18
_cell_angle_gamma 74.92
_space_group_name_H-M_alt 'P 1'
_space_group_IT_number 1
loop_
_space_group_symop_operation_xyz
'x,y,z'
loop_
_atom_site_label
_atom_site_fract_x
_atom_site_fract_y
_atom_site_fract_z
_atom_site_occupancy
Ba1 0.000 0.000 0.000 1
Ba2 0.308 0.308 0.309 1
Ba3 0.692 0.692 0.691 1
Tl1 0.008 0.277 0.643 1
Tl2 0.137 0.571 0.854 1
Tl3 0.277 0.008 0.643 1
Tl4 0.429 0.863 0.146 1
Tl5 0.500 0.500 0.000 1
Tl6 0.571 0.137 0.854 1
Tl7 0.723 0.992 0.357 1
Tl8 0.863 0.429 0.146 1
Tl9 0.992 0.723 0.357 1
Zn1 0.318 0.682 0.500 1
Zn2 0.682 0.318 0.500 1
```

# 13
Ac3SbAs2Rh9: theoretical powder diffraction line list (a wavelength of 1.5418 Å), based on a crystal structure in Alexandria, relaxed with PBE.
Neutral-atom scattering factors, no anomalous dispersion.

Most intense lines, 2θ from 5° to 70°, in order of rising 2θ:
- 2θ = 25.0°, intensity 30.2
- 2θ = 28.1°, intensity 28.9
- 2θ = 28.6°, intensity 22.0
- 2θ = 34.0°, intensity 69.1
- 2θ = 37.9°, intensity 100.0
- 2θ = 43.9°, intensity 16.3
- 2θ = 47.9°, intensity 21.9
- 2θ = 51.2°, intensity 24.7
- 2θ = 58.1°, intensity 28.1
- 2θ = 69.1°, intensity 17.1

Cell and atoms:
```
data_Ac3SbAs2Rh9
_cell_length_a 6.348
_cell_length_b 6.348
_cell_length_c 9.375
_cell_angle_alpha 90.00
_cell_angle_beta 90.00
_cell_angle_gamma 120.00
_space_group_name_H-M_alt 'P 1'
_space_group_IT_number 1
loop_
_space_group_symop_operation_xyz
'x,y,z'
loop_
_atom_site_label
_atom_site_fract_x
_atom_site_fract_y
_atom_site_fract_z
_atom_site_occupancy
Ac1 0.000 0.000 0.000 1
Ac2 0.333 0.667 0.692 1
Ac3 0.667 0.333 0.308 1
Sb1 0.000 0.000 0.500 1
As1 0.333 0.667 0.166 1
As2 0.667 0.333 0.834 1
Rh1 0.000 0.500 0.000 1
Rh2 0.146 0.292 0.281 1
Rh3 0.146 0.854 0.281 1
Rh4 0.292 0.146 0.719 1
Rh5 0.500 0.000 0.000 1
Rh6 0.500 0.500 0.000 1
Rh7 0.708 0.854 0.281 1
Rh8 0.854 0.146 0.719 1
Rh9 0.854 0.708 0.719 1
```